For SmHfO14, a PBE-relaxed structure gives the simulated XRD peak list in this record (Cu Kα).
Neutral-atom scattering factors, no anomalous dispersion.

Cell: 7.5781 7.5781 7.5781 Å, 60.00 60.00 60.00°
Fractional coordinates of all 32 atoms:
Sm1 0.1250 0.1250 0.1250
Sm2 0.8750 0.8750 0.8750
Hf1 0.3750 0.3750 0.3750
Hf2 0.6250 0.6250 0.6250
O1 0.0000 0.0000 0.0000
O2 0.0000 0.0000 0.5000
O3 0.0000 0.5000 0.0000
O4 0.0926 0.3558 0.3558
O5 0.0926 0.3558 0.6959
O6 0.0926 0.6959 0.3558
O7 0.3041 0.6442 0.6442
O8 0.3041 0.6442 0.9074
O9 0.3041 0.9074 0.6442
O10 0.3558 0.0926 0.3558
O11 0.3558 0.0926 0.6959
O12 0.3558 0.3558 0.0926
O13 0.3558 0.3558 0.6959
O14 0.3558 0.6959 0.0926
O15 0.3558 0.6959 0.3558
O16 0.5000 0.0000 0.0000
O17 0.6442 0.3041 0.6442
O18 0.6442 0.3041 0.9074
O19 0.6442 0.6442 0.3041
O20 0.6442 0.6442 0.9074
O21 0.6442 0.9074 0.3041
O22 0.6442 0.9074 0.6442
O23 0.6959 0.0926 0.3558
O24 0.6959 0.3558 0.0926
O25 0.6959 0.3558 0.3558
O26 0.9074 0.3041 0.6442
O27 0.9074 0.6442 0.3041
O28 0.9074 0.6442 0.6442

Peak list (10 most intense, 15° ≤ 2θ ≤ 90°, in order of rising 2θ)
d 3.789, 23.48 deg, I = 100
d 2.679, 33.45 deg, I = 15
d 2.188, 41.27 deg, I = 73
d 1.895, 48.02 deg, I = 17
d 1.695, 54.12 deg, I = 30
d 1.547, 59.79 deg, I = 9
d 1.432, 65.14 deg, I = 25
d 1.263, 75.23 deg, I = 18
d 1.142, 84.88 deg, I = 7
d 1.094, 89.63 deg, I = 8